Structure and simulated powder diffraction line list of Mn3O2F4 (a DFT-relaxed cell (PBE+U, Alexandria); Cu Kα X-rays).
Lines closer than 0.1° are merged.

Main lines, by angle (10 to 90 degrees two-theta):
h k l, two_theta, I (rel.)
1 1 0, 25.9, 100
1 0 3, 33.9, 40
2 0 0, 36.9, 9
1 1 3, 38.8, 15
2 1 0, 41.5, 8
2 1 3, 51.0, 58
2 2 0, 53.2, 16
3 1 0, 60.1, 8
3 0 3, 64.6, 23
1 1 6, 65.3, 9

Atomic structure:
Cell lengths 4.871, 4.871, 9.429 Å; angles 90.00, 90.00, 90.00 degrees
Fractional positions:
Mn1 0.000 0.000 0.000
Mn2 0.000 0.000 0.349
Mn3 0.000 0.000 0.651
Mn4 0.500 0.500 0.151
Mn5 0.500 0.500 0.500
Mn6 0.500 0.500 0.849
O1 0.185 0.185 0.500
O2 0.315 0.685 0.000
O3 0.685 0.315 0.000
O4 0.815 0.815 0.500
F1 0.186 0.186 0.185
F2 0.186 0.186 0.815
F3 0.314 0.686 0.315
F4 0.314 0.686 0.685
F5 0.686 0.314 0.315
F6 0.686 0.314 0.685
F7 0.814 0.814 0.185
F8 0.814 0.814 0.815